# PmSi2GePt7
Theoretical X-ray powder pattern, λ = 1.5418 Å (Cu Kα). Input: a cell relaxed with PBE.

Top 10 peaks for 2θ = 15–90°, low angle first:
2θ = 19.10°, I = 19
2θ = 23.72°, I = 18
2θ = 26.99°, I = 22
2θ = 33.48°, I = 43
2θ = 36.53°, I = 100
2θ = 40.47°, I = 18
2θ = 44.18°, I = 53
2θ = 50.33°, I = 23
2θ = 64.26°, I = 18
2θ = 76.24°, I = 24

Structural model:
Cell lengths 14.2376, 14.2376, 14.2376 Å; angles 163.44, 163.44, 23.50 degrees
Element x y z (fractional)
1 Pm 0.0000 0.0000 0.0000
2 Si 0.3757 0.3757 0.0000
3 Si 0.6243 0.6243 0.0000
4 Ge 0.7500 0.2500 0.5000
5 Pt 0.0796 0.5796 0.5000
6 Pt 0.2940 0.2940 0.0000
7 Pt 0.4204 0.9204 0.5000
8 Pt 0.5000 0.5000 0.0000
9 Pt 0.5800 0.0800 0.5000
10 Pt 0.7060 0.7060 0.0000
11 Pt 0.9200 0.4200 0.5000

=====

# Pm2Si3GePt4
Theoretical X-ray powder pattern, λ = 1.5418 Å (Cu Kα). Input: a cell relaxed with PBE.

Top 10 peaks for 2θ = 15–90°, low angle first:
2θ = 27.53°, I = 29
2θ = 30.76°, I = 55
2θ = 34.35°, I = 56
2θ = 34.66°, I = 100
2θ = 42.00°, I = 69
2θ = 47.49°, I = 26
2θ = 50.97°, I = 32
2θ = 55.34°, I = 29
2θ = 60.91°, I = 23
2θ = 72.02°, I = 24

Structural model:
Cell lengths 4.3019, 4.3019, 9.8535 Å; angles 90.00, 90.00, 90.00 degrees
Element x y z (fractional)
1 Pm 0.0000 0.5000 0.2477
2 Pm 0.5000 0.0000 0.7523
3 Si 0.0000 0.0000 0.0000
4 Si 0.0000 0.5000 0.6279
5 Si 0.5000 0.0000 0.3721
6 Ge 0.5000 0.5000 0.0000
7 Pt 0.0000 0.0000 0.5000
8 Pt 0.0000 0.5000 0.8721
9 Pt 0.5000 0.0000 0.1279
10 Pt 0.5000 0.5000 0.5000

=====

# Pm3SnGe2Pt9
Theoretical X-ray powder pattern, λ = 1.5418 Å (Cu Kα). Input: a cell relaxed with PBE.

Top 10 peaks for 2θ = 15–90°, low angle first:
2θ = 18.32°, I = 16
2θ = 18.81°, I = 16
2θ = 33.14°, I = 81
2θ = 37.13°, I = 100
2θ = 38.16°, I = 28
2θ = 43.07°, I = 35
2θ = 56.48°, I = 27
2θ = 58.88°, I = 20
2θ = 68.29°, I = 16
2θ = 70.22°, I = 21

Structural model:
Cell lengths 6.5167, 6.5167, 9.4335 Å; angles 90.00, 90.00, 120.00 degrees
Element x y z (fractional)
1 Pm 0.0000 0.0000 0.0000
2 Pm 0.3333 0.6667 0.7434
3 Pm 0.6667 0.3333 0.2566
4 Sn 0.0000 0.0000 0.5000
5 Ge 0.3333 0.6667 0.1807
6 Ge 0.6667 0.3333 0.8193
7 Pt 0.0000 0.5000 0.0000
8 Pt 0.1397 0.2793 0.2713
9 Pt 0.1397 0.8603 0.2713
10 Pt 0.2793 0.1397 0.7287
11 Pt 0.5000 0.0000 0.0000
12 Pt 0.5000 0.5000 0.0000
13 Pt 0.7207 0.8603 0.2713
14 Pt 0.8603 0.1397 0.7287
15 Pt 0.8603 0.7207 0.7287

=====

# Pm2ThGe3Pt4
Theoretical X-ray powder pattern, λ = 1.5418 Å (Cu Kα). Input: a cell relaxed with PBE.

Top 10 peaks for 2θ = 15–90°, low angle first:
2θ = 25.80°, I = 20
2θ = 31.48°, I = 16
2θ = 33.00°, I = 100
2θ = 38.16°, I = 19
2θ = 41.11°, I = 52
2θ = 43.56°, I = 31
2θ = 59.54°, I = 18
2θ = 65.72°, I = 15
2θ = 69.78°, I = 23
2θ = 76.62°, I = 13

Structural model:
Cell lengths 4.3915, 4.3915, 11.1814 Å; angles 90.00, 90.00, 90.00 degrees
Element x y z (fractional)
1 Pm 0.0000 0.5000 0.2125
2 Pm 0.5000 0.0000 0.7875
3 Th 0.0000 0.0000 0.5000
4 Ge 0.0000 0.5000 0.8810
5 Ge 0.5000 0.0000 0.1190
6 Ge 0.5000 0.5000 0.5000
7 Pt 0.0000 0.0000 0.0000
8 Pt 0.0000 0.5000 0.6609
9 Pt 0.5000 0.0000 0.3391
10 Pt 0.5000 0.5000 0.0000

=====

# PmPu6Ge6
Theoretical X-ray powder pattern, λ = 1.5418 Å (Cu Kα). Input: a cell relaxed with PBE.

Top 10 peaks for 2θ = 15–90°, low angle first:
2θ = 18.50°, I = 71
2θ = 33.13°, I = 62
2θ = 34.40°, I = 95
2θ = 34.94°, I = 32
2θ = 35.44°, I = 51
2θ = 37.50°, I = 26
2θ = 39.34°, I = 100
2θ = 40.26°, I = 39
2θ = 40.96°, I = 27
2θ = 66.24°, I = 21

Structural model:
Cell lengths 5.9083, 5.9083, 9.5924 Å; angles 90.00, 90.00, 118.07 degrees
Element x y z (fractional)
1 Pm 0.0000 0.0000 0.0000
2 Pu 0.0000 0.5000 0.2307
3 Pu 0.0000 0.5000 0.7693
4 Pu 0.5000 0.0000 0.2307
5 Pu 0.5000 0.0000 0.7693
6 Pu 0.5000 0.5000 0.3116
7 Pu 0.5000 0.5000 0.6884
8 Ge 0.0000 0.0000 0.3138
9 Ge 0.0000 0.0000 0.6862
10 Ge 0.2286 0.7714 0.5000
11 Ge 0.3744 0.6256 0.0000
12 Ge 0.6256 0.3744 0.0000
13 Ge 0.7714 0.2286 0.5000

=====

# Pm3Pu2Ge7
Theoretical X-ray powder pattern, λ = 1.5418 Å (Cu Kα). Input: a cell relaxed with PBE.

Top 10 peaks for 2θ = 15–90°, low angle first:
2θ = 24.89°, I = 40
2θ = 27.42°, I = 39
2θ = 27.78°, I = 58
2θ = 31.16°, I = 85
2θ = 34.28°, I = 19
2θ = 37.79°, I = 100
2θ = 38.50°, I = 48
2θ = 42.23°, I = 38
2θ = 50.34°, I = 45
2θ = 59.87°, I = 38

Structural model:
Cell lengths 11.2904, 11.2904, 5.7398 Å; angles 90.00, 90.00, 156.10 degrees
Element x y z (fractional)
1 Pm 0.0000 0.0000 0.0000
2 Pm 0.1777 0.8223 0.0000
3 Pm 0.8223 0.1777 0.0000
4 Pu 0.3654 0.6346 0.5000
5 Pu 0.6346 0.3654 0.5000
6 Ge 0.0595 0.9405 0.5000
7 Ge 0.2258 0.7742 0.5000
8 Ge 0.4045 0.5955 0.0000
9 Ge 0.5000 0.5000 0.5000
10 Ge 0.5955 0.4045 0.0000
11 Ge 0.7742 0.2258 0.5000
12 Ge 0.9405 0.0595 0.5000

=====

# PmPuGeSb
Theoretical X-ray powder pattern, λ = 1.5418 Å (Cu Kα). Input: a cell relaxed with PBE.

Top 10 peaks for 2θ = 15–90°, low angle first:
2θ = 20.61°, I = 6
2θ = 23.85°, I = 12
2θ = 33.98°, I = 100
2θ = 40.07°, I = 4
2θ = 41.94°, I = 4
2θ = 48.81°, I = 18
2θ = 55.03°, I = 6
2θ = 60.81°, I = 38
2θ = 71.52°, I = 12
2θ = 81.59°, I = 16

Structural model:
Cell lengths 7.4627, 7.4627, 7.4627 Å; angles 90.00, 90.00, 90.00 degrees
Element x y z (fractional)
1 Pm 0.0000 0.0000 0.0000
2 Pm 0.0000 0.5000 0.5000
3 Pm 0.5000 0.0000 0.5000
4 Pm 0.5000 0.5000 0.0000
5 Pu 0.0000 0.0000 0.5000
6 Pu 0.0000 0.5000 0.0000
7 Pu 0.5000 0.0000 0.0000
8 Pu 0.5000 0.5000 0.5000
9 Ge 0.2500 0.2500 0.2500
10 Ge 0.2500 0.7500 0.7500
11 Ge 0.7500 0.2500 0.7500
12 Ge 0.7500 0.7500 0.2500
13 Sb 0.2500 0.2500 0.7500
14 Sb 0.2500 0.7500 0.2500
15 Sb 0.7500 0.2500 0.2500
16 Sb 0.7500 0.7500 0.7500

=====

# RbPmGeS4
Theoretical X-ray powder pattern, λ = 1.5418 Å (Cu Kα). Input: a cell relaxed with PBE.

Top 10 peaks for 2θ = 15–90°, low angle first:
2θ = 16.58°, I = 51
2θ = 19.23°, I = 64
2θ = 24.25°, I = 59
2θ = 24.79°, I = 54
2θ = 26.38°, I = 94
2θ = 28.28°, I = 43
2θ = 29.50°, I = 44
2θ = 31.12°, I = 100
2θ = 32.40°, I = 83
2θ = 39.04°, I = 72

Structural model:
Cell lengths 6.6229, 6.7578, 9.1667 Å; angles 90.00, 107.49, 90.00 degrees
Element x y z (fractional)
1 Rb 0.2326 0.2500 0.4361
2 Rb 0.7674 0.7500 0.5639
3 Pm 0.2726 0.2500 0.9496
4 Pm 0.7274 0.7500 0.0504
5 Ge 0.2771 0.7500 0.1708
6 Ge 0.7229 0.2500 0.8292
7 S 0.0758 0.7500 0.9284
8 S 0.0780 0.7500 0.3248
9 S 0.4971 0.5047 0.7941
10 S 0.4971 0.9953 0.7941
11 S 0.5029 0.0047 0.2059
12 S 0.5029 0.4953 0.2059
13 S 0.9220 0.2500 0.6752
14 S 0.9242 0.2500 0.0716

=====

# Pm4GeRh3
Theoretical X-ray powder pattern, λ = 1.5418 Å (Cu Kα). Input: a cell relaxed with PBE.

Top 10 peaks for 2θ = 15–90°, low angle first:
2θ = 31.65°, I = 100
2θ = 32.96°, I = 27
2θ = 33.18°, I = 31
2θ = 39.38°, I = 22
2θ = 39.57°, I = 57
2θ = 42.64°, I = 25
2θ = 44.78°, I = 22
2θ = 55.09°, I = 21
2θ = 63.55°, I = 15
2θ = 80.20°, I = 14

Structural model:
Cell lengths 4.0477, 4.2405, 10.8703 Å; angles 90.00, 90.00, 90.00 degrees
Element x y z (fractional)
1 Pm 0.0000 0.0000 0.0000
2 Pm 0.0000 0.5000 0.2763
3 Pm 0.5000 0.0000 0.4903
4 Pm 0.5000 0.5000 0.7789
5 Ge 0.0000 0.0000 0.7079
6 Rh 0.0000 0.5000 0.5614
7 Rh 0.5000 0.0000 0.2200
8 Rh 0.5000 0.5000 0.0476

=====

# PmGe4Rh6
Theoretical X-ray powder pattern, λ = 1.5418 Å (Cu Kα). Input: a cell relaxed with PBE.

Top 10 peaks for 2θ = 15–90°, low angle first:
2θ = 33.93°, I = 24
2θ = 36.93°, I = 100
2θ = 38.03°, I = 34
2θ = 44.90°, I = 34
2θ = 46.93°, I = 25
2θ = 49.63°, I = 14
2θ = 50.51°, I = 25
2θ = 61.93°, I = 16
2θ = 71.40°, I = 18
2θ = 80.66°, I = 12

Structural model:
Cell lengths 7.2280, 7.2280, 3.8723 Å; angles 90.00, 90.00, 120.00 degrees
Element x y z (fractional)
1 Pm 0.0000 0.0000 0.0000
2 Ge 0.3333 0.6667 0.0000
3 Ge 0.3955 0.1978 0.5000
4 Ge 0.8022 0.1978 0.5000
5 Ge 0.8022 0.6045 0.5000
6 Rh 0.1998 0.3995 0.5000
7 Rh 0.1998 0.8002 0.5000
8 Rh 0.5333 0.0665 0.0000
9 Rh 0.5333 0.4667 0.0000
10 Rh 0.6005 0.8002 0.5000
11 Rh 0.9335 0.4667 0.0000

=====

# Pm4GeRh2
Theoretical X-ray powder pattern, λ = 1.5418 Å (Cu Kα). Input: a cell relaxed with PBE.

Top 10 peaks for 2θ = 15–90°, low angle first:
2θ = 28.31°, I = 13
2θ = 31.48°, I = 100
2θ = 31.96°, I = 49
2θ = 37.46°, I = 34
2θ = 37.60°, I = 22
2θ = 37.85°, I = 25
2θ = 51.86°, I = 14
2θ = 52.17°, I = 16
2θ = 52.43°, I = 17
2θ = 63.86°, I = 16

Structural model:
Cell lengths 7.7453, 7.7453, 7.7453 Å; angles 109.01, 109.01, 110.41 degrees
Element x y z (fractional)
1 Pm 0.0075 0.3844 0.2558
2 Pm 0.1285 0.7517 0.7442
3 Pm 0.1344 0.2575 0.7558
4 Pm 0.2483 0.9925 0.3769
5 Pm 0.5017 0.3785 0.2442
6 Pm 0.6156 0.8715 0.6231
7 Pm 0.6215 0.8656 0.1231
8 Pm 0.7425 0.4983 0.8769
9 Ge 0.0000 0.0000 0.0000
10 Ge 0.7500 0.2500 0.5000
11 Rh 0.2634 0.6250 0.1384
12 Rh 0.3750 0.5134 0.6384
13 Rh 0.4866 0.1250 0.8616
14 Rh 0.8750 0.7366 0.3616

=====

# PmGe2Rh3
Theoretical X-ray powder pattern, λ = 1.5418 Å (Cu Kα). Input: a cell relaxed with PBE.

Top 10 peaks for 2θ = 15–90°, low angle first:
2θ = 31.12°, I = 17
2θ = 34.37°, I = 16
2θ = 35.19°, I = 100
2θ = 36.23°, I = 12
2θ = 36.70°, I = 32
2θ = 39.76°, I = 19
2θ = 43.24°, I = 20
2θ = 43.41°, I = 14
2θ = 44.62°, I = 45
2θ = 44.66°, I = 17

Structural model:
Cell lengths 8.4654, 8.4654, 9.8784 Å; angles 107.19, 107.19, 27.76 degrees
Element x y z (fractional)
1 Pm 0.0000 0.0000 0.0000
2 Pm 0.1625 0.1625 0.7033
3 Pm 0.8375 0.8375 0.2967
4 Ge 0.1941 0.1941 0.1269
5 Ge 0.3612 0.3612 0.5472
6 Ge 0.4629 0.4629 0.2219
7 Ge 0.5371 0.5371 0.7781
8 Ge 0.6388 0.6388 0.4528
9 Ge 0.8059 0.8059 0.8731
10 Rh 0.0414 0.0414 0.3324
11 Rh 0.2158 0.2158 0.3925
12 Rh 0.3214 0.3214 0.0400
13 Rh 0.3797 0.3797 0.8015
14 Rh 0.5000 0.5000 0.5000
15 Rh 0.6203 0.6203 0.1985
16 Rh 0.6786 0.6786 0.9600
17 Rh 0.7842 0.7842 0.6075
18 Rh 0.9586 0.9586 0.6676

=====

# PmGe4Rh4
Theoretical X-ray powder pattern, λ = 1.5418 Å (Cu Kα). Input: a cell relaxed with PBE.

Top 10 peaks for 2θ = 15–90°, low angle first:
2θ = 29.88°, I = 18
2θ = 34.37°, I = 100
2θ = 35.82°, I = 43
2θ = 41.52°, I = 27
2θ = 44.23°, I = 21
2θ = 46.72°, I = 18
2θ = 55.98°, I = 28
2θ = 60.17°, I = 19
2θ = 62.08°, I = 23
2θ = 86.74°, I = 13

Structural model:
Cell lengths 6.1514, 6.1514, 8.2349 Å; angles 90.00, 90.00, 90.00 degrees
Element x y z (fractional)
1 Pm 0.2500 0.7500 0.2500
2 Pm 0.7500 0.2500 0.7500
3 Ge 0.0404 0.2500 0.0734
4 Ge 0.2500 0.0404 0.5734
5 Ge 0.2500 0.4596 0.5734
6 Ge 0.4596 0.2500 0.0734
7 Ge 0.5404 0.7500 0.9266
8 Ge 0.7500 0.5404 0.4266
9 Ge 0.7500 0.9596 0.4266
10 Ge 0.9596 0.7500 0.9266
11 Rh 0.0205 0.2500 0.3730
12 Rh 0.2500 0.0205 0.8730
13 Rh 0.2500 0.4795 0.8730
14 Rh 0.4795 0.2500 0.3730
15 Rh 0.5205 0.7500 0.6270
16 Rh 0.7500 0.5205 0.1270
17 Rh 0.7500 0.9795 0.1270
18 Rh 0.9795 0.7500 0.6270